Ho8IrRu5: calculated powder diffraction line list (Cu Ka), based on a structure optimized by DFT (GGA-PBE).
Peak positions follow from Bragg's law for the DFT cell and can differ from measured ones.

The 10 most intense peaks (10 to 90 degrees two-theta), in order of rising 2θ:
(hkl)  2theta  d [Å]  intensity
2 0 2  29.8  3.003  12
1 0 3  33.3  2.691  51
3 1 0  33.4  2.682  100
2 1 3  39.7  2.269  94
3 3 2  50.4  1.810  14
2 4 2  52.9  1.732  16
1 3 4  55.1  1.667  11
4 1 3  55.2  1.664  27
1 6 1  68.1  1.376  21
1 7 2  83.8  1.154  14

Cell and atoms:
```
data_Ho8IrRu5
_chemical_formula_sum 'Ho16 Ir2 Ru10'
_space_group_name_H-M_alt 'I -4'
_space_group_IT_number 82
_cell_length_a 8.481
_cell_length_b 8.481
_cell_length_c 8.514
_cell_angle_alpha 90.00
_cell_angle_beta 90.00
_cell_angle_gamma 90.00
loop_
_space_group_symop_operation_xyz
'x,y,z'
'y,-x,-z'
'-x,-y,z'
'-y,x,-z'
'x+1/2,y+1/2,z+1/2'
'y+1/2,-x+1/2,-z+1/2'
'-x+1/2,-y+1/2,z+1/2'
'-y+1/2,x+1/2,-z+1/2'
loop_
_atom_site_label
_atom_site_type_symbol
_atom_site_fract_x
_atom_site_fract_y
_atom_site_fract_z
Ho1 Ho 0.057 0.316 0.458
Ho2 Ho 0.075 0.182 0.824
Ir1 Ir 0.000 0.500 0.750
Ru1 Ru 0.000 0.000 0.500
Ru2 Ru 0.120 0.249 0.148
```